SbWO7: theoretical PXRD pattern (Cu Kα X-rays), based on a DFT-relaxed cell (GGA+U, Alexandria).

Peak list (12 most intense, 5 to 70 degrees two-theta, low angle first)
2θ (°)	I/Imax
14.18	1000
14.96	566
26.90	180
28.17	469
28.58	561
29.03	133
30.18	341
33.10	176
38.15	118
49.64	307
55.44	132
58.25	145

Atomic structure:
```
data_SbWO7
_space_group_name_H-M_alt 'P 1'
_space_group_IT_number 1
_cell_length_a 7.382
_cell_length_b 7.382
_cell_length_c 7.382
_cell_angle_alpha 120.29
_cell_angle_beta 114.38
_cell_angle_gamma 94.76
loop_
_space_group_symop_operation_xyz
'x,y,z'
loop_
_atom_site_label
_atom_site_type_symbol
_atom_site_fract_x
_atom_site_fract_y
_atom_site_fract_z
_atom_site_occupancy
Sb1 Sb 0.000 0.000 0.000 1
Sb2 Sb 0.500 0.000 0.500 1
W1 W 0.500 0.000 0.000 1
W2 W 0.500 0.500 0.500 1
O1 O 0.019 0.769 0.250 1
O2 O 0.151 0.901 0.250 1
O3 O 0.198 0.311 0.269 1
O4 O 0.198 0.930 0.887 1
O5 O 0.441 0.691 0.750 1
O6 O 0.457 0.070 0.769 1
O7 O 0.457 0.689 0.387 1
O8 O 0.543 0.311 0.613 1
O9 O 0.543 0.930 0.231 1
O10 O 0.559 0.309 0.250 1
O11 O 0.802 0.070 0.113 1
O12 O 0.802 0.689 0.731 1
O13 O 0.849 0.099 0.750 1
O14 O 0.981 0.231 0.750 1
```